Starting from a GGA+U-relaxed structure, the X-ray diffraction stick pattern of NdUCr2O8 was calculated for Cu Kα X-rays.

The 12 most intense peaks (2θ from 10° to 90°), in order of rising 2θ:
- 18.4 deg, 4.823 Å, intensity 1000, (1 1 0)
- 21.3 deg, 4.174 Å, intensity 290, (1 1 -1)
- 24.6 deg, 3.623 Å, intensity 921, (2 0 0)
- 27.6 deg, 3.232 Å, intensity 697, (0 2 0)
- 29.8 deg, 2.998 Å, intensity 925, (1 1 -2)
- 32.6 deg, 2.747 Å, intensity 673, (1 1 2)
- 37.3 deg, 2.412 Å, intensity 341, (2 2 0)
- 37.6 deg, 2.393 Å, intensity 400, (0 2 2)
- 39.8 deg, 2.263 Å, intensity 276, (3 1 0)
- 44.6 deg, 2.031 Å, intensity 270, (3 1 -2)
- 50.2 deg, 1.817 Å, intensity 270, (1 3 -2)
- 50.5 deg, 1.808 Å, intensity 297, (3 1 2)

Cell: 7.315 6.463 7.188 Å, 90.00 97.86 90.00°
Space group C2/m (No. 12)
One atom of each set of equivalent atoms:
Nd: 0.000 0.000 0.000 (multiplicity 2)
U: 0.000 0.000 0.500 (multiplicity 2)
Cr: 0.041 0.500 0.210 (multiplicity 4)
O: 0.006 0.214 0.266 (multiplicity 8)
O: 0.168 0.500 0.002 (multiplicity 4)
O: 0.231 0.500 0.441 (multiplicity 4)